Pr3Ge6Pt4: simulated powder diffraction line list (Cu Kα (λ = 1.5418 Å)), based on the PBE geometry in the Materials Project.
No peak broadening, texture or thermal motion is included.

Principal peaks in the range 15 to 90 degrees two-theta, by angle:
index  d/Å  intensity
1 1 2  3.160  41
5 1 2  2.733  100
8 1 0  2.675  59
9 0 2  2.474  46
0 0 4  2.254  36
0 2 0  2.248  53
11 1 2  1.927  25
13 0 2  1.865  19
9 2 2  1.664  28
0 2 4  1.592  25

Cell and atoms:
```
52
Lattice="26.6336 0.0000 0.0000 0.0000 4.4954 0.0000 0.0000 0.0000 9.0178" Properties=species:S:1:pos:R:3 pbc="T T T"
Pr 2.4558 1.1239 1.0560
Pr 2.4620 1.1239 5.6998
Pr 5.8828 1.1239 7.8908
Pr 7.4340 3.3716 3.3820
Pr 10.8548 3.3716 1.1909
Pr 10.8610 3.3716 5.5649
Pr 15.7726 1.1239 3.4529
Pr 15.7788 1.1239 7.8269
Pr 19.1996 1.1239 5.6358
Pr 20.7508 3.3716 1.1269
Pr 24.1716 3.3716 3.3180
Pr 24.1778 3.3716 7.9618
Ge 0.0394 1.1239 3.3923
Ge 0.0515 3.3716 1.1663
Ge 3.6840 3.3716 7.8699
Ge 3.7720 3.3716 3.3574
Ge 5.7107 1.1239 2.0517
Ge 5.7203 1.1239 4.7179
Ge 7.5965 3.3716 0.2090
Ge 7.6061 3.3716 6.5606
Ge 9.5448 1.1239 7.8663
Ge 9.6328 1.1239 3.3610
Ge 13.2653 1.1239 5.6752
Ge 13.2774 3.3716 7.9012
Ge 13.3562 1.1239 1.1166
Ge 13.3683 3.3716 3.3426
Ge 17.0008 3.3716 5.6568
Ge 17.0888 3.3716 1.1515
Ge 19.0275 1.1239 2.4572
Ge 19.0371 1.1239 8.8088
Ge 20.9133 3.3716 4.2999
Ge 20.9229 3.3716 6.9661
Ge 22.8616 1.1239 5.6604
Ge 22.9496 1.1239 1.1479
Ge 26.5821 1.1239 7.8515
Ge 26.5942 3.3716 5.6255
Pt 1.1668 3.3716 7.8672
Pt 1.2810 3.3716 3.4099
Pt 4.9860 3.3716 1.1208
Pt 4.9832 3.3716 5.6328
Pt 8.3336 1.1239 1.1239
Pt 8.3308 1.1239 5.6297
Pt 12.0358 1.1239 7.9188
Pt 12.1500 1.1239 3.3583
Pt 14.4836 3.3716 5.6595
Pt 14.5978 3.3716 1.0990
Pt 18.3028 3.3716 3.3881
Pt 18.3000 3.3716 7.8939
Pt 21.6504 1.1239 3.3850
Pt 21.6476 1.1239 7.8970
Pt 25.3526 1.1239 5.6078
Pt 25.4668 1.1239 1.1506
```